Entry 1:
This entry pairs a crystal structure of LaPmH8Pt2 with its computed powder diffractogram. Radiation: Cu Kα (λ = 1.5418 Å). Structure: DFT lattice parameters and positions (PBE).

Structural model:
```
LaPmH8Pt2
1.0
2.3420 1.3522 6.9227
-2.3420 1.3522 6.9227
0.0000 -2.7043 6.9227
La Pm H Pt
1 1 8 2
direct
0.0000 0.0000 0.0000
0.5000 0.5000 0.5000
0.0270 0.0270 0.6153
0.0270 0.6153 0.0270
0.3325 0.3325 0.3325
0.3847 0.9730 0.9730
0.6153 0.0270 0.0270
0.6675 0.6675 0.6675
0.9730 0.3847 0.9730
0.9730 0.9730 0.3847
0.2506 0.2506 0.2506
0.7494 0.7494 0.7494
```

Peak list (6 most intense, 2θ = 10–80°, in order of falling intensity)
2theta  I (rel.)
27.91  100
38.44  44
41.29  36
48.17  23
63.24  21
67.27  17


Entry 2:
This entry pairs a crystal structure of La2Pm2Sn2H with its computed powder diffractogram. Radiation: Cu Kα (λ = 1.5418 Å). Structure: DFT lattice parameters and positions (PBE).

Structural model:
```
La2Pm2Sn2H
1.0
-2.3754 2.3754 8.8181
2.3754 -2.3754 8.8181
2.3754 2.3754 -8.8181
La Pm Sn H
2 2 2 1
direct
0.1789 0.1789 0.0000
0.8211 0.8211 0.0000
0.0000 0.5000 0.5000
0.5000 0.0000 0.5000
0.3674 0.3674 0.0000
0.6326 0.6326 0.0000
0.0000 0.0000 0.0000
```

Peak list (6 most intense, 2θ = 10–80°, in order of falling intensity)
2theta  I (rel.)
28.43  100
33.54  95
37.88  65
31.59  38
49.32  34
30.41  33


Entry 3:
This entry pairs a crystal structure of La3PrH8 with its computed powder diffractogram. Radiation: Cu Kα (λ = 1.5418 Å). Structure: DFT lattice parameters and positions (PBE).

Structural model:
```
La3PrH8
1.0
-2.8059 2.8059 5.6007
2.8059 -2.8059 5.6007
2.8059 2.8059 -5.6007
La Pr H
3 1 8
direct
0.0000 0.0000 0.0000
0.2500 0.7500 0.5000
0.7500 0.2500 0.5000
0.5000 0.5000 0.0000
0.1285 0.1285 0.5044
0.1285 0.6241 0.0000
0.3759 0.3759 0.5044
0.3759 0.8715 0.0000
0.6241 0.1285 0.0000
0.6241 0.6241 0.4956
0.8715 0.3759 0.0000
0.8715 0.8715 0.4956
```

Peak list (6 most intense, 2θ = 10–80°, in order of falling intensity)
2theta  I (rel.)
27.55  100
31.92  49
54.25  45
45.76  39
73.62  18
56.87  13


Entry 4:
This entry pairs a crystal structure of La4Pr2Sb3H2 with its computed powder diffractogram. Radiation: Cu Kα (λ = 1.5418 Å). Structure: DFT lattice parameters and positions (PBE).

Structural model:
```
La4Pr2Sb3H2
1.0
-2.4193 2.4193 13.0942
2.4193 -2.4193 13.0942
2.4193 2.4193 -13.0942
La Pr Sb H
4 2 3 2
direct
0.0831 0.5831 0.5000
0.4169 0.9169 0.5000
0.5831 0.0831 0.5000
0.9169 0.4169 0.5000
0.2007 0.2007 0.0000
0.7993 0.7993 0.0000
0.3250 0.3250 0.0000
0.5000 0.5000 0.0000
0.6750 0.6750 0.0000
0.1063 0.1063 0.0000
0.8937 0.8937 0.0000
```

Peak list (6 most intense, 2θ = 10–80°, in order of falling intensity)
2theta  I (rel.)
33.27  100
37.16  56
26.93  50
64.54  29
29.46  24
30.20  21


Entry 5:
This entry pairs a crystal structure of La4HPt2 with its computed powder diffractogram. Radiation: Cu Kα (λ = 1.5418 Å). Structure: DFT lattice parameters and positions (PBE).

Structural model:
```
La4HPt2
1.0
-2.3809 2.3809 7.8263
2.3809 -2.3809 7.8263
2.3809 2.3809 -7.8263
La H Pt
4 1 2
direct
0.0000 0.5000 0.5000
0.1887 0.1887 0.0000
0.5000 0.0000 0.5000
0.8113 0.8113 0.0000
0.0000 0.0000 0.0000
0.3639 0.3639 0.0000
0.6361 0.6361 0.0000
```

Peak list (6 most intense, 2θ = 10–80°, in order of falling intensity)
2theta  I (rel.)
28.87  100
35.16  87
37.78  78
34.31  63
51.97  53
26.47  34


Entry 6:
This entry pairs a crystal structure of LaH3Pt3 with its computed powder diffractogram. Radiation: Cu Kα (λ = 1.5418 Å). Structure: DFT lattice parameters and positions (PBE).

Structural model:
```
LaH3Pt3
1.0
6.4455 0.0000 0.0000
-3.2228 5.5820 0.0000
0.0000 0.0000 4.8234
La H Pt
2 6 6
direct
0.3333 0.6667 0.2500
0.6667 0.3333 0.7500
0.1158 0.5579 0.7500
0.4421 0.5579 0.7500
0.4421 0.8842 0.7500
0.5579 0.1158 0.2500
0.5579 0.4421 0.2500
0.8842 0.4421 0.2500
0.1429 0.2858 0.7500
0.1429 0.8571 0.7500
0.2858 0.1429 0.2500
0.7142 0.8571 0.7500
0.8571 0.1429 0.2500
0.8571 0.7142 0.2500
```

Peak list (6 most intense, 2θ = 10–80°, in order of falling intensity)
2theta  I (rel.)
37.23  100
70.24  20
32.07  19
15.88  15
67.20  14
57.16  11


Entry 7:
This entry pairs a crystal structure of LaH6PtRh with its computed powder diffractogram. Radiation: Cu Kα (λ = 1.5418 Å). Structure: DFT lattice parameters and positions (PBE).

Structural model:
```
LaH6PtRh
1.0
4.8855 0.0000 0.0000
-2.4427 4.2310 0.0000
0.0000 0.0000 4.2492
La H Pt Rh
1 6 1 1
direct
0.0000 0.0000 0.0000
0.5034 0.0069 0.2419
0.5034 0.0069 0.7581
0.5034 0.4966 0.2419
0.5034 0.4966 0.7581
0.9931 0.4966 0.2419
0.9931 0.4966 0.7581
0.3333 0.6667 0.5000
0.6667 0.3333 0.5000
```

Peak list (6 most intense, 2θ = 10–80°, in order of falling intensity)
2theta  I (rel.)
29.80  100
36.79  61
57.49  34
48.04  27
62.01  25
20.94  19


Entry 8:
This entry pairs a crystal structure of LaTlH6Pt2 with its computed powder diffractogram. Radiation: Cu Kα (λ = 1.5418 Å). Structure: DFT lattice parameters and positions (PBE).

Structural model:
```
LaTlH6Pt2
1.0
4.9231 -4.4258 0.0000
4.9231 4.4258 0.0000
-3.4567 0.0000 6.0191
La Tl H Pt
2 2 12 4
direct
0.1424 0.8576 0.7500
0.8576 0.1424 0.2500
0.4335 0.5665 0.2500
0.5665 0.4335 0.7500
0.0862 0.1946 0.0495
0.0899 0.7225 0.3029
0.1388 0.5735 0.8980
0.1946 0.0862 0.5495
0.2775 0.9101 0.1971
0.4265 0.8612 0.6020
0.5735 0.1388 0.3980
0.7225 0.0899 0.8029
0.8054 0.9138 0.4505
0.8612 0.4265 0.1020
0.9101 0.2775 0.6971
0.9138 0.8054 0.9505
0.1597 0.3295 0.7209
0.3295 0.1597 0.2209
0.6705 0.8403 0.7791
0.8403 0.6705 0.2791
```

Peak list (6 most intense, 2θ = 10–80°, in order of falling intensity)
2theta  I (rel.)
27.46  100
29.68  52
37.32  44
37.62  35
44.19  28
20.06  23


Entry 9:
This entry pairs a crystal structure of LaPuH4 with its computed powder diffractogram. Radiation: Cu Kα (λ = 1.5418 Å). Structure: DFT lattice parameters and positions (PBE).

Structural model:
```
LaPuH4
1.0
3.8680 0.0000 0.0000
0.0000 3.8680 0.0000
0.0000 0.0000 5.4619
La Pu H
1 1 4
direct
0.0000 0.0000 0.0000
0.5000 0.5000 0.5000
0.0000 0.5000 0.2657
0.0000 0.5000 0.7343
0.5000 0.0000 0.2657
0.5000 0.0000 0.7343
```

Peak list (6 most intense, 2θ = 10–80°, in order of falling intensity)
2theta  I (rel.)
28.27  100
32.76  50
55.76  46
47.01  39
75.85  19
58.48  13


Entry 10:
This entry pairs a crystal structure of LaPuHSe2 with its computed powder diffractogram. Radiation: Cu Kα (λ = 1.5418 Å). Structure: DFT lattice parameters and positions (PBE).

Structural model:
```
LaPuHSe2
1.0
4.2003 0.0000 0.0000
0.0000 4.2003 0.0000
0.0000 0.0000 12.7394
La Pu H Se
2 2 2 4
direct
0.2500 0.2500 0.1182
0.7500 0.7500 0.8818
0.2500 0.2500 0.5878
0.7500 0.7500 0.4122
0.2500 0.7500 0.5000
0.7500 0.2500 0.5000
0.2500 0.2500 0.3485
0.2500 0.2500 0.8706
0.7500 0.7500 0.1294
0.7500 0.7500 0.6515
```

Peak list (6 most intense, 2θ = 10–80°, in order of falling intensity)
2theta  I (rel.)
30.09  100
41.58  52
25.40  38
43.07  38
28.02  37
35.37  34


Entry 11:
This entry pairs a crystal structure of RbLaH with its computed powder diffractogram. Radiation: Cu Kα (λ = 1.5418 Å). Structure: DFT lattice parameters and positions (PBE).

Structural model:
```
RbLaH
1.0
3.5285 -2.0398 0.0000
3.5285 2.0398 0.0000
-2.6453 0.0000 14.9380
Rb La H
2 2 2
direct
0.0000 0.0000 0.0000
0.7383 0.7383 0.2941
0.1659 0.1659 0.5541
0.5755 0.5755 0.7546
0.2254 0.2254 0.7106
0.9272 0.9272 0.8038
```

Peak list (6 most intense, 2θ = 10–80°, in order of falling intensity)
2theta  I (rel.)
27.05  100
23.83  51
28.99  45
27.35  43
44.45  42
32.43  38


Entry 12:
This entry pairs a crystal structure of RbLaHS with its computed powder diffractogram. Radiation: Cu Kα (λ = 1.5418 Å). Structure: DFT lattice parameters and positions (PBE).

Structural model:
```
RbLaHS
1.0
4.1636 0.0000 0.0000
-2.0818 3.6057 0.0000
0.0000 0.0000 7.7251
Rb La H S
1 1 1 1
direct
0.0000 0.0000 0.0000
0.3333 0.6667 0.5020
0.0000 0.0000 0.4117
0.6667 0.3333 0.7085
```

Peak list (6 most intense, 2θ = 10–80°, in order of falling intensity)
2theta  I (rel.)
27.29  100
34.01  32
43.17  30
23.03  25
43.47  24
49.75  19


What did the first record say?
This entry pairs a crystal structure of LaPmH8Pt2 with its computed powder diffractogram. Radiation: Cu Kα (λ = 1.5418 Å). Structure: DFT lattice parameters and positions (PBE).

Structural model:
```
LaPmH8Pt2
1.0
2.3420 1.3522 6.9227
-2.3420 1.3522 6.9227
0.0000 -2.7043 6.9227
La Pm H Pt
1 1 8 2
direct
0.0000 0.0000 0.0000
0.5000 0.5000 0.5000
0.0270 0.0270 0.6153
0.0270 0.6153 0.0270
0.3325 0.3325 0.3325
0.3847 0.9730 0.9730
0.6153 0.0270 0.0270
0.6675 0.6675 0.6675
0.9730 0.3847 0.9730
0.9730 0.9730 0.3847
0.2506 0.2506 0.2506
0.7494 0.7494 0.7494
```

Peak list (6 most intense, 2θ = 10–80°, in order of falling intensity)
2theta  I (rel.)
27.91  100
38.44  44
41.29  36
48.17  23
63.24  21
67.27  17


Repeat the seventh record exactly.
This entry pairs a crystal structure of LaH6PtRh with its computed powder diffractogram. Radiation: Cu Kα (λ = 1.5418 Å). Structure: DFT lattice parameters and positions (PBE).

Structural model:
```
LaH6PtRh
1.0
4.8855 0.0000 0.0000
-2.4427 4.2310 0.0000
0.0000 0.0000 4.2492
La H Pt Rh
1 6 1 1
direct
0.0000 0.0000 0.0000
0.5034 0.0069 0.2419
0.5034 0.0069 0.7581
0.5034 0.4966 0.2419
0.5034 0.4966 0.7581
0.9931 0.4966 0.2419
0.9931 0.4966 0.7581
0.3333 0.6667 0.5000
0.6667 0.3333 0.5000
```

Peak list (6 most intense, 2θ = 10–80°, in order of falling intensity)
2theta  I (rel.)
29.80  100
36.79  61
57.49  34
48.04  27
62.01  25
20.94  19